Entry 1:
This entry pairs a crystal structure of Cs3SbBr8 with its theoretical powder X-ray diffraction pattern. Radiation: copper Kα. Structure: a crystal structure in Alexandria, relaxed with PBE.

Top 10 peaks for 15° ≤ 2θ ≤ 90°, in order of rising 2θ:
| 2θ/deg | Rel. int. |
| --- | --- |
| 17.20 | 27 |
| 20.97 | 61 |
| 25.81 | 100 |
| 26.81 | 39 |
| 27.68 | 23 |
| 30.12 | 40 |
| 30.80 | 41 |
| 32.40 | 44 |
| 33.40 | 51 |
| 37.80 | 30 |

Structure:
Unit cell a=10.7309 b=10.7309 c=10.3087 alpha=90.00 beta=90.00 gamma=120.00
Positions (direct):
Cs (0.1516, 0.3032, 0.0000)
Cs (0.1516, 0.8484, 0.0000)
Cs (0.3032, 0.1516, 0.5000)
Cs (0.6968, 0.8484, 0.0000)
Cs (0.8484, 0.1516, 0.5000)
Cs (0.8484, 0.6968, 0.5000)
Sb (0.3333, 0.6667, 0.4729)
Sb (0.6667, 0.3333, 0.9729)
Br (0.0000, 0.0000, 0.2514)
Br (0.0000, 0.0000, 0.7514)
Br (0.0994, 0.5497, 0.3329)
Br (0.2173, 0.4346, 0.6224)
Br (0.2173, 0.7827, 0.6224)
Br (0.3333, 0.6667, 0.9697)
Br (0.4346, 0.2173, 0.1224)
Br (0.4503, 0.5497, 0.3329)
Br (0.4503, 0.9006, 0.3329)
Br (0.5497, 0.0994, 0.8329)
Br (0.5497, 0.4503, 0.8329)
Br (0.5654, 0.7827, 0.6224)
Br (0.6667, 0.3333, 0.4697)
Br (0.7827, 0.2173, 0.1224)
Br (0.7827, 0.5654, 0.1224)
Br (0.9006, 0.4503, 0.8329)

Entry 2:
This entry pairs a crystal structure of Cs3SbBr6 with its theoretical powder X-ray diffraction pattern. Radiation: copper Kα. Structure: a crystal structure in Alexandria, relaxed with PBE.

Top 10 peaks for 15° ≤ 2θ ≤ 90°, in order of rising 2θ:
| 2θ/deg | Rel. int. |
| --- | --- |
| 20.18 | 65 |
| 24.78 | 47 |
| 28.69 | 100 |
| 35.33 | 26 |
| 41.02 | 70 |
| 46.12 | 19 |
| 50.82 | 23 |
| 55.22 | 20 |
| 67.28 | 27 |
| 74.72 | 19 |

Structure:
Unit cell a=8.8017 b=8.8017 c=8.8017 alpha=60.00 beta=60.00 gamma=60.00
Positions (direct):
Cs (0.0000, 0.0000, 0.0000)
Cs (0.2500, 0.2500, 0.2500)
Cs (0.7500, 0.7500, 0.7500)
Sb (0.5000, 0.5000, 0.5000)
Br (0.2736, 0.2736, 0.7264)
Br (0.2736, 0.7264, 0.2736)
Br (0.2736, 0.7264, 0.7264)
Br (0.7264, 0.2736, 0.2736)
Br (0.7264, 0.2736, 0.7264)
Br (0.7264, 0.7264, 0.2736)

Entry 3:
This entry pairs a crystal structure of Cs5SbSe4Br2 with its theoretical powder X-ray diffraction pattern. Radiation: copper Kα. Structure: a crystal structure in Alexandria, relaxed with PBE.

Top 10 peaks for 15° ≤ 2θ ≤ 90°, in order of rising 2θ:
| 2θ/deg | Rel. int. |
| --- | --- |
| 20.30 | 16 |
| 20.48 | 59 |
| 24.22 | 72 |
| 26.07 | 32 |
| 30.00 | 100 |
| 32.69 | 31 |
| 41.11 | 24 |
| 41.96 | 28 |
| 50.99 | 22 |
| 51.73 | 16 |

Structure:
Unit cell a=10.9561 b=7.4858 c=7.4858 alpha=108.50 beta=90.00 gamma=90.00
Positions (direct):
Cs (0.0000, 0.0000, 0.0000)
Cs (0.2617, 0.2952, 0.6847)
Cs (0.2617, 0.6847, 0.2952)
Cs (0.7383, 0.2952, 0.6847)
Cs (0.7383, 0.6847, 0.2952)
Sb (0.5000, 0.9641, 0.9641)
Se (0.3124, 0.1308, 0.1308)
Se (0.5000, 0.6261, 0.9560)
Se (0.5000, 0.9560, 0.6261)
Se (0.6876, 0.1308, 0.1308)
Br (0.0000, 0.5057, 0.9789)
Br (0.0000, 0.9789, 0.5057)

Entry 4:
This entry pairs a crystal structure of CsSnSbBr6 with its theoretical powder X-ray diffraction pattern. Radiation: copper Kα. Structure: a crystal structure in Alexandria, relaxed with PBE.

Top 10 peaks for 15° ≤ 2θ ≤ 90°, in order of rising 2θ:
| 2θ/deg | Rel. int. |
| --- | --- |
| 17.37 | 91 |
| 25.89 | 76 |
| 29.29 | 16 |
| 32.32 | 100 |
| 37.82 | 33 |
| 41.10 | 62 |
| 43.39 | 16 |
| 51.24 | 32 |
| 53.25 | 20 |
| 69.41 | 16 |

Structure:
Unit cell a=7.6040 b=7.6040 c=8.0850 alpha=90.00 beta=90.00 gamma=120.00
Positions (direct):
Cs (0.0000, 0.0000, 0.0000)
Sn (0.6667, 0.3333, 0.5000)
Sb (0.3333, 0.6667, 0.5000)
Br (0.0173, 0.3836, 0.7092)
Br (0.0173, 0.6337, 0.2908)
Br (0.3663, 0.3836, 0.2908)
Br (0.3663, 0.9827, 0.7092)
Br (0.6164, 0.6337, 0.7092)
Br (0.6164, 0.9827, 0.2908)

Entry 5:
This entry pairs a crystal structure of Cs2TlSbBr6 with its theoretical powder X-ray diffraction pattern. Radiation: copper Kα. Structure: a crystal structure in Alexandria, relaxed with PBE.

Top 10 peaks for 15° ≤ 2θ ≤ 90°, in order of rising 2θ:
| 2θ/deg | Rel. int. |
| --- | --- |
| 21.01 | 74 |
| 25.81 | 32 |
| 29.89 | 100 |
| 36.82 | 34 |
| 42.77 | 73 |
| 48.12 | 18 |
| 53.05 | 25 |
| 57.69 | 21 |
| 70.42 | 31 |
| 78.34 | 23 |

Structure:
Unit cell a=8.4562 b=8.4562 c=8.4562 alpha=60.00 beta=60.00 gamma=60.00
Positions (direct):
Cs (0.2500, 0.2500, 0.2500)
Cs (0.7500, 0.7500, 0.7500)
Tl (0.0000, 0.0000, 0.0000)
Sb (0.5000, 0.5000, 0.5000)
Br (0.2644, 0.2644, 0.7356)
Br (0.2644, 0.7356, 0.2644)
Br (0.2644, 0.7356, 0.7356)
Br (0.7356, 0.2644, 0.2644)
Br (0.7356, 0.2644, 0.7356)
Br (0.7356, 0.7356, 0.2644)

Entry 6:
This entry pairs a crystal structure of CsScBr3 with its theoretical powder X-ray diffraction pattern. Radiation: copper Kα. Structure: a crystal structure in Alexandria, relaxed with PBE.

Top 10 peaks for 15° ≤ 2θ ≤ 90°, in order of rising 2θ:
| 2θ/deg | Rel. int. |
| --- | --- |
| 18.79 | 19 |
| 27.18 | 100 |
| 28.14 | 38 |
| 29.45 | 19 |
| 30.44 | 15 |
| 31.68 | 23 |
| 31.89 | 15 |
| 33.81 | 17 |
| 41.72 | 21 |
| 51.69 | 10 |

Structure:
Unit cell a=4.3300 b=9.7500 c=9.7600 alpha=65.86 beta=77.55 gamma=77.53
Positions (direct):
Cs (0.0000, 0.0000, 0.0000)
Cs (0.1570, 0.3455, 0.3450)
Sc (0.3723, 0.4899, 0.7751)
Sc (0.3718, 0.7754, 0.4898)
Br (0.2364, 0.7735, 0.7733)
Br (0.5284, 0.2391, 0.7045)
Br (0.5282, 0.7046, 0.2393)
Br (0.8142, 0.9875, 0.3960)
Br (0.8148, 0.3962, 0.9870)
Br (0.9274, 0.5758, 0.5756)